Calculated XRD peak list
Compound: CaCeHg2
Radiation: copper Kα
Structure: DFT lattice parameters and positions (GGA-PBE)
Lines closer than 0.1° are merged.

Peak list (10 most intense, 2θ from 5° to 70°, by intensity)
Position (°2θ)	intensity
33.16	100
59.24	38
47.60	18
23.28	16
69.60	12
53.64	8
20.13	6
40.91	5
39.10	4
52.17	2

Unit cell a=7.642 b=7.642 c=7.642 alpha=90.00 beta=90.00 gamma=90.00
Fractional positions:
Ca (0.000, 0.000, 0.000)
Ca (0.000, 0.500, 0.500)
Ca (0.500, 0.000, 0.500)
Ca (0.500, 0.500, 0.000)
Ce (0.000, 0.000, 0.500)
Ce (0.000, 0.500, 0.000)
Ce (0.500, 0.000, 0.000)
Ce (0.500, 0.500, 0.500)
Hg (0.250, 0.250, 0.250)
Hg (0.250, 0.250, 0.750)
Hg (0.250, 0.750, 0.250)
Hg (0.250, 0.750, 0.750)
Hg (0.750, 0.250, 0.250)
Hg (0.750, 0.250, 0.750)
Hg (0.750, 0.750, 0.250)
Hg (0.750, 0.750, 0.750)

Calculated XRD peak list
Compound: AlV6Sb
Radiation: copper Kα
Structure: DFT lattice parameters and positions (GGA-PBE)
Lines closer than 0.1° are merged.

Peak list (10 most intense, 2θ from 5° to 70°, by intensity)
Position (°2θ)	intensity
41.38	100
45.53	98
36.84	46
18.18	32
69.45	21
31.76	20
56.58	9
25.82	8
63.20	5
66.36	3

Unit cell a=4.880 b=4.880 c=4.880 alpha=90.00 beta=90.00 gamma=90.00
Fractional positions:
Al (0.000, 0.000, 0.000)
V (0.000, 0.239, 0.500)
V (0.000, 0.761, 0.500)
V (0.239, 0.500, 0.000)
V (0.500, 0.000, 0.239)
V (0.500, 0.000, 0.761)
V (0.761, 0.500, 0.000)
Sb (0.500, 0.500, 0.500)

Calculated XRD peak list
Compound: Pr2CrSe4
Radiation: copper Kα
Structure: DFT lattice parameters and positions (GGA-PBE)
Lines closer than 0.1° are merged.

Peak list (10 most intense, 2θ from 5° to 70°, by intensity)
Position (°2θ)	intensity
28.32	100
28.01	53
42.30	48
38.11	44
37.89	36
14.23	33
43.32	29
24.43	26
30.36	24
42.21	22

Unit cell a=14.452 b=4.177 c=7.461 alpha=90.00 beta=120.52 gamma=90.00
Fractional positions:
Pr (0.219, 0.000, 0.212)
Pr (0.281, 0.500, 0.788)
Pr (0.719, 0.500, 0.212)
Pr (0.781, 0.000, 0.788)
Cr (0.000, 0.500, 0.500)
Cr (0.500, 0.000, 0.500)
Se (0.108, 0.500, 0.900)
Se (0.126, 0.000, 0.495)
Se (0.374, 0.500, 0.505)
Se (0.392, 0.000, 0.100)
Se (0.608, 0.000, 0.900)
Se (0.626, 0.500, 0.495)
Se (0.874, 0.000, 0.505)
Se (0.892, 0.500, 0.100)

Calculated XRD peak list
Compound: Li3TaF6
Radiation: copper Kα
Structure: DFT lattice parameters and positions (GGA-PBE)
Lines closer than 0.1° are merged.

Peak list (10 most intense, 2θ from 5° to 70°, by intensity)
Position (°2θ)	intensity
19.04	100
22.02	87
36.92	61
31.34	37
50.55	36
49.19	29
44.91	27
59.49	20
68.79	19
69.90	16

Unit cell a=5.709 b=5.709 c=5.709 alpha=60.00 beta=60.00 gamma=60.00
Fractional positions:
Li (0.000, 0.000, 0.000)
Li (0.250, 0.250, 0.250)
Li (0.750, 0.750, 0.750)
Ta (0.500, 0.500, 0.500)
F (0.245, 0.245, 0.755)
F (0.245, 0.755, 0.245)
F (0.245, 0.755, 0.755)
F (0.755, 0.245, 0.245)
F (0.755, 0.245, 0.755)
F (0.755, 0.755, 0.245)

Calculated XRD peak list
Compound: Ho2Cl2O
Radiation: copper Kα
Structure: DFT lattice parameters and positions (GGA-PBE)
Lines closer than 0.1° are merged.

Peak list (10 most intense, 2θ from 5° to 70°, by intensity)
Position (°2θ)	intensity
21.95	100
6.95	69
31.23	40
30.52	28
23.05	21
50.38	20
48.46	20
35.90	19
20.95	17
13.92	17

Unit cell a=4.050 b=4.050 c=12.723 alpha=90.00 beta=90.00 gamma=90.00
Fractional positions:
Ho (0.000, 0.000, 0.161)
Ho (0.000, 0.000, 0.839)
Cl (0.000, 0.000, 0.354)
Cl (0.000, 0.000, 0.646)
O (0.000, 0.000, 0.000)

Calculated XRD peak list
Compound: LaPrIr2
Radiation: copper Kα
Structure: DFT lattice parameters and positions (GGA-PBE)
Lines closer than 0.1° are merged.

Peak list (6 most intense, 2θ from 5° to 70°, by intensity)
Position (°2θ)	intensity
35.37	100
63.49	37
50.89	18
24.81	3
57.41	1
43.69	1

Unit cell a=7.178 b=7.178 c=7.178 alpha=90.00 beta=90.00 gamma=90.00
Fractional positions:
La (0.000, 0.000, 0.000)
La (0.000, 0.500, 0.500)
La (0.500, 0.000, 0.500)
La (0.500, 0.500, 0.000)
Pr (0.000, 0.000, 0.500)
Pr (0.000, 0.500, 0.000)
Pr (0.500, 0.000, 0.000)
Pr (0.500, 0.500, 0.500)
Ir (0.250, 0.250, 0.250)
Ir (0.250, 0.250, 0.750)
Ir (0.250, 0.750, 0.250)
Ir (0.250, 0.750, 0.750)
Ir (0.750, 0.250, 0.250)
Ir (0.750, 0.250, 0.750)
Ir (0.750, 0.750, 0.250)
Ir (0.750, 0.750, 0.750)